Computed powder diffractogram
Compound: CrO
Radiation: Cu Kα (weighted mean of Kα1 and Kα2)
Structure: a structure optimized by DFT (GGA+U)
Peak positions follow from Bragg's law for the DFT cell and can differ from measured ones.

```
CrO
1.0
2.1600 -2.2139 0.0000
2.1600 2.2139 0.0000
0.0000 0.0000 5.4427
Cr O
2 2
Cartesian
1.0800 1.1069 0.0000
1.0800 -1.1069 2.7213
0.0000 0.0000 1.3607
0.0000 0.0000 4.0820
```

Largest 10 diffraction maxima, by angle, 10° ≤ 2θ ≤ 90°:
Position (°2θ), d/Å, I (rel.)
28.9, 3.092, 7.6
32.9, 2.721, 12.2
33.3, 2.689, 100.0
40.8, 2.214, 6.7
53.3, 1.717, 18.7
54.2, 1.692, 17.7
59.0, 1.565, 16.3
59.8, 1.546, 12.5
69.5, 1.353, 9.4
71.0, 1.328, 8.8